The following is a theoretical X-ray powder pattern of SrTaN2. It was derived from a GGA-PBE-relaxed structure, using Cu Kα (λ = 1.5418 Å).
Neutral-atom scattering factors, no anomalous dispersion.

Largest 8 diffraction maxima, sorted by position, 5° ≤ 2θ ≤ 70°:
Position (°2θ), intensity, h k l
14.42, 42.1, 1 0 0
18.63, 56.9, 1 1 0
28.81, 86.9, 0 2 1
30.58, 100.0, 1 0 -2
31.45, 80.5, 2 1 0
35.14, 52.6, 1 2 1
36.49, 45.9, 2 2 -1
45.93, 42.6, 3 1 -2

Crystal structure
Lattice parameters (Å, degrees): 6.631 7.549 5.860 90.00 112.17 90.00
Atoms (fractional coordinates):
Sr (0.166, 0.090, 0.319)
Sr (0.166, 0.410, 0.819)
Sr (0.834, 0.590, 0.181)
Sr (0.834, 0.910, 0.681)
Ta (0.362, 0.653, 0.413)
Ta (0.362, 0.847, 0.913)
Ta (0.638, 0.153, 0.087)
Ta (0.638, 0.347, 0.587)
N (0.191, 0.715, 0.068)
N (0.191, 0.785, 0.568)
N (0.305, 0.100, 0.952)
N (0.305, 0.400, 0.452)
N (0.695, 0.600, 0.548)
N (0.695, 0.900, 0.048)
N (0.809, 0.215, 0.432)
N (0.809, 0.285, 0.932)